This entry pairs a crystal structure of BaTbEuBiO6 with its computed powder X-ray diffraction pattern. Radiation: Cu Kα (λ = 1.5418 Å). Structure: the GGA-PBE geometry in Alexandria.

a = 6.042 Å, b = 6.169 Å, c = 8.618 Å
α = 89.97°, β = 89.89°, γ = 89.83°
Space group P-1 (No. 2)
One atom of each set of equivalent atoms:
1 Ba 0.007 0.036 0.249
2 Tb 0.000 0.500 0.000
3 Tb 0.500 0.000 0.500
4 Eu 0.485 0.546 0.248
5 Bi 0.000 0.500 0.500
6 Bi 0.500 0.000 0.000
7 O 0.114 0.509 0.742
8 O 0.211 0.775 0.454
9 O 0.213 0.789 0.041
10 O 0.288 0.301 0.439
11 O 0.309 0.301 0.058
12 O 0.425 0.061 0.752

Most intense lines, 10° ≤ 2θ ≤ 90°, by angle:
(hkl), 2θ/deg, I (rel.)
0 2 0, 28.95, 24
-1 1 2, 29.29, 100
2 0 0, 29.57, 24
2 2 0, 41.79, 12
0 0 4, 41.93, 24
2 0 4, 52.14, 11
3 1 -2, 52.26, 17
-1 1 6, 68.90, 13